1.
Structure and computed X-ray powder pattern of Mg14BMo (the GGA-PBE geometry in the Materials Project; Cu Kα).

Main lines, sorted by position (5 to 70 degrees two-theta):
2θ = 9.08°, I 23; 2θ = 18.90°, I 29; 2θ = 33.44°, I 26; 2θ = 36.90°, I 25; 2θ = 38.34°, I 100; 2θ = 67.44°, I 17

Structure:
```
data_Mg14BMo
_cell_length_a 6.1876
_cell_length_b 6.1876
_cell_length_c 9.7427
_cell_angle_alpha 90.00
_cell_angle_beta 90.00
_cell_angle_gamma 120.00
_space_group_name_H-M_alt 'P 1'
_space_group_IT_number 1
loop_
_space_group_symop_operation_xyz
'x,y,z'
loop_
_atom_site_label
_atom_site_type_symbol
_atom_site_fract_x
_atom_site_fract_y
_atom_site_fract_z
Mg1 Mg 0.0000 0.0000 0.2464
Mg2 Mg 0.0000 0.0000 0.7536
Mg3 Mg 0.0207 0.5103 0.2532
Mg4 Mg 0.0207 0.5103 0.7468
Mg5 Mg 0.3319 0.1659 0.5000
Mg6 Mg 0.3372 0.1686 0.0000
Mg7 Mg 0.4897 0.5103 0.2532
Mg8 Mg 0.4897 0.5103 0.7468
Mg9 Mg 0.4897 0.9793 0.2532
Mg10 Mg 0.4897 0.9793 0.7468
Mg11 Mg 0.8314 0.1686 0.0000
Mg12 Mg 0.8314 0.6628 0.0000
Mg13 Mg 0.8341 0.1659 0.5000
Mg14 Mg 0.8341 0.6681 0.5000
B1 B 0.3333 0.6667 0.5000
Mo1 Mo 0.3333 0.6667 0.0000
```

=====

2.
Structure and computed X-ray powder pattern of Mg3BN3 (the GGA-PBE geometry in the Materials Project; Cu Kα).

Main lines, sorted by position (5 to 70 degrees two-theta):
2θ = 28.92°, I 25; 2θ = 29.46°, I 100; 2θ = 33.26°, I 26; 2θ = 36.64°, I 45; 2θ = 49.29°, I 24; 2θ = 51.26°, I 75

Structure:
```
data_Mg3BN3
_cell_length_a 3.5645
_cell_length_b 3.5645
_cell_length_c 16.1608
_cell_angle_alpha 90.00
_cell_angle_beta 90.00
_cell_angle_gamma 120.00
_space_group_name_H-M_alt 'P 1'
_space_group_IT_number 1
loop_
_space_group_symop_operation_xyz
'x,y,z'
loop_
_atom_site_label
_atom_site_type_symbol
_atom_site_fract_x
_atom_site_fract_y
_atom_site_fract_z
Mg1 Mg 0.0000 0.0000 0.2500
Mg2 Mg 0.0000 0.0000 0.7500
Mg3 Mg 0.3333 0.6667 0.1225
Mg4 Mg 0.3333 0.6667 0.3775
Mg5 Mg 0.6667 0.3333 0.6225
Mg6 Mg 0.6667 0.3333 0.8775
B1 B 0.0000 0.0000 0.0000
B2 B 0.0000 0.0000 0.5000
N1 N 0.0000 0.0000 0.0834
N2 N 0.0000 0.0000 0.4166
N3 N 0.0000 0.0000 0.5834
N4 N 0.0000 0.0000 0.9166
N5 N 0.3333 0.6667 0.2500
N6 N 0.6667 0.3333 0.7500
```

=====

3.
Structure and computed X-ray powder pattern of NaMg14B (the GGA-PBE geometry in the Materials Project; Cu Kα).

Main lines, sorted by position (5 to 70 degrees two-theta):
2θ = 32.76°, I 24; 2θ = 35.37°, I 38; 2θ = 37.36°, I 100; 2θ = 37.56°, I 48; 2θ = 58.76°, I 16; 2θ = 64.80°, I 17

Structure:
```
data_NaMg14B
_cell_length_a 10.1520
_cell_length_b 6.2852
_cell_length_c 6.2852
_cell_angle_alpha 60.44
_cell_angle_beta 90.00
_cell_angle_gamma 90.00
_space_group_name_H-M_alt 'P 1'
_space_group_IT_number 1
loop_
_space_group_symop_operation_xyz
'x,y,z'
loop_
_atom_site_label
_atom_site_type_symbol
_atom_site_fract_x
_atom_site_fract_y
_atom_site_fract_z
Na1 Na 0.0000 0.0000 0.0000
Mg1 Mg 0.0000 0.5100 0.9939
Mg2 Mg 0.0000 0.9939 0.5100
Mg3 Mg 0.2342 0.3395 0.3395
Mg4 Mg 0.2400 0.3427 0.8190
Mg5 Mg 0.2400 0.8190 0.3427
Mg6 Mg 0.2563 0.8317 0.8317
Mg7 Mg 0.5000 0.0027 0.0027
Mg8 Mg 0.5000 0.0029 0.4969
Mg9 Mg 0.5000 0.4969 0.0029
Mg10 Mg 0.5000 0.5008 0.5008
Mg11 Mg 0.7437 0.8317 0.8317
Mg12 Mg 0.7600 0.3427 0.8190
Mg13 Mg 0.7600 0.8190 0.3427
Mg14 Mg 0.7658 0.3395 0.3395
B1 B 0.0000 0.5053 0.5053
```

=====

4.
Structure and computed X-ray powder pattern of NaMg14B (the GGA-PBE geometry in the Materials Project; Cu Kα).

Main lines, sorted by position (5 to 70 degrees two-theta):
2θ = 32.95°, I 24; 2θ = 34.55°, I 26; 2θ = 37.34°, I 100; 2θ = 48.49°, I 14; 2θ = 58.85°, I 17; 2θ = 63.74°, I 17

Structure:
```
data_NaMg14B
_cell_length_a 6.2770
_cell_length_b 6.2770
_cell_length_c 10.3853
_cell_angle_alpha 90.00
_cell_angle_beta 90.00
_cell_angle_gamma 120.00
_space_group_name_H-M_alt 'P 1'
_space_group_IT_number 1
loop_
_space_group_symop_operation_xyz
'x,y,z'
loop_
_atom_site_label
_atom_site_type_symbol
_atom_site_fract_x
_atom_site_fract_y
_atom_site_fract_z
Na1 Na 0.0000 0.0000 0.0000
Mg1 Mg 0.0055 0.5027 0.0000
Mg2 Mg 0.1621 0.3242 0.2681
Mg3 Mg 0.1621 0.3242 0.7319
Mg4 Mg 0.1621 0.8379 0.2681
Mg5 Mg 0.1621 0.8379 0.7319
Mg6 Mg 0.4973 0.5027 0.0000
Mg7 Mg 0.4973 0.9945 0.0000
Mg8 Mg 0.5032 0.0064 0.5000
Mg9 Mg 0.5032 0.4968 0.5000
Mg10 Mg 0.6667 0.3333 0.2442
Mg11 Mg 0.6667 0.3333 0.7558
Mg12 Mg 0.6758 0.8379 0.2681
Mg13 Mg 0.6758 0.8379 0.7319
Mg14 Mg 0.9936 0.4968 0.5000
B1 B 0.0000 0.0000 0.5000
```

=====

5.
Structure and computed X-ray powder pattern of NaMg6BO7 (the GGA-PBE geometry in the Materials Project; Cu Kα).

Main lines, sorted by position (5 to 70 degrees two-theta):
2θ = 9.93°, I 16; 2θ = 36.17°, I 22; 2θ = 40.51°, I 46; 2θ = 42.74°, I 100; 2θ = 60.34°, I 48; 2θ = 62.04°, I 28

Structure:
```
data_NaMg6BO7
_cell_length_a 4.2314
_cell_length_b 4.2314
_cell_length_c 8.9078
_cell_angle_alpha 90.00
_cell_angle_beta 90.00
_cell_angle_gamma 90.00
_space_group_name_H-M_alt 'P 1'
_space_group_IT_number 1
loop_
_space_group_symop_operation_xyz
'x,y,z'
loop_
_atom_site_label
_atom_site_type_symbol
_atom_site_fract_x
_atom_site_fract_y
_atom_site_fract_z
Na1 Na 0.0000 0.0000 0.0000
Mg1 Mg 0.0000 0.0000 0.5208
Mg2 Mg 0.0000 0.5000 0.2311
Mg3 Mg 0.0000 0.5000 0.7665
Mg4 Mg 0.5000 0.0000 0.2311
Mg5 Mg 0.5000 0.0000 0.7665
Mg6 Mg 0.5000 0.5000 0.4911
B1 B 0.5000 0.5000 0.9598
O1 O 0.0000 0.0000 0.7483
O2 O 0.0000 0.5000 0.0017
O3 O 0.0000 0.5000 0.5244
O4 O 0.5000 0.0000 0.0017
O5 O 0.5000 0.0000 0.5244
O6 O 0.5000 0.5000 0.2681
O7 O 0.5000 0.5000 0.8040
```

=====

6.
Structure and computed X-ray powder pattern of NaMg6BO7 (the GGA-PBE geometry in the Materials Project; Cu Kα).

Main lines, sorted by position (5 to 70 degrees two-theta):
2θ = 36.28°, I 22; 2θ = 39.41°, I 6; 2θ = 40.41°, I 100; 2θ = 45.43°, I 25; 2θ = 58.48°, I 29; 2θ = 62.41°, I 34

Structure:
```
data_NaMg6BO7
_cell_length_a 4.4638
_cell_length_b 4.4638
_cell_length_c 7.9860
_cell_angle_alpha 90.00
_cell_angle_beta 90.00
_cell_angle_gamma 90.00
_space_group_name_H-M_alt 'P 1'
_space_group_IT_number 1
loop_
_space_group_symop_operation_xyz
'x,y,z'
loop_
_atom_site_label
_atom_site_type_symbol
_atom_site_fract_x
_atom_site_fract_y
_atom_site_fract_z
Na1 Na 0.0000 0.0000 0.0000
Mg1 Mg 0.0000 0.5000 0.2520
Mg2 Mg 0.0000 0.5000 0.7421
Mg3 Mg 0.5000 0.0000 0.2520
Mg4 Mg 0.5000 0.0000 0.7421
Mg5 Mg 0.5000 0.5000 0.0003
Mg6 Mg 0.5000 0.5000 0.4944
B1 B 0.0000 0.0000 0.4986
O1 O 0.0000 0.0000 0.3243
O2 O 0.0000 0.0000 0.6738
O3 O 0.0000 0.5000 0.4971
O4 O 0.0000 0.5000 0.9966
O5 O 0.5000 0.0000 0.4971
O6 O 0.5000 0.0000 0.9966
O7 O 0.5000 0.5000 0.7469
```

=====

7.
Structure and computed X-ray powder pattern of NaMg6BO7 (the GGA-PBE geometry in the Materials Project; Cu Kα).

Main lines, sorted by position (5 to 70 degrees two-theta):
2θ = 20.84°, I 8; 2θ = 36.44°, I 21; 2θ = 42.16°, I 42; 2θ = 42.42°, I 100; 2θ = 61.35°, I 46; 2θ = 61.54°, I 28

Structure:
```
data_NaMg6BO7
_cell_length_a 4.2619
_cell_length_b 4.2619
_cell_length_c 8.5733
_cell_angle_alpha 90.00
_cell_angle_beta 90.00
_cell_angle_gamma 90.00
_space_group_name_H-M_alt 'P 1'
_space_group_IT_number 1
loop_
_space_group_symop_operation_xyz
'x,y,z'
loop_
_atom_site_label
_atom_site_type_symbol
_atom_site_fract_x
_atom_site_fract_y
_atom_site_fract_z
Na1 Na 0.0000 0.0000 0.0000
Mg1 Mg 0.0000 0.0000 0.5026
Mg2 Mg 0.0000 0.5000 0.2294
Mg3 Mg 0.0000 0.5000 0.7646
Mg4 Mg 0.5000 0.0000 0.2294
Mg5 Mg 0.5000 0.0000 0.7646
Mg6 Mg 0.5000 0.5000 0.4905
B1 B 0.5000 0.5000 0.9738
O1 O 0.0000 0.0000 0.2653
O2 O 0.0000 0.0000 0.7380
O3 O 0.0000 0.5000 0.5088
O4 O 0.0000 0.5000 0.9991
O5 O 0.5000 0.0000 0.5088
O6 O 0.5000 0.0000 0.9991
O7 O 0.5000 0.5000 0.8078
```

=====

What did the seventh record say?
Structure and computed X-ray powder pattern of NaMg6BO7 (the GGA-PBE geometry in the Materials Project; Cu Kα).

Main lines, sorted by position (5 to 70 degrees two-theta):
2θ = 20.84°, I 8; 2θ = 36.44°, I 21; 2θ = 42.16°, I 42; 2θ = 42.42°, I 100; 2θ = 61.35°, I 46; 2θ = 61.54°, I 28

Structure:
```
data_NaMg6BO7
_cell_length_a 4.2619
_cell_length_b 4.2619
_cell_length_c 8.5733
_cell_angle_alpha 90.00
_cell_angle_beta 90.00
_cell_angle_gamma 90.00
_space_group_name_H-M_alt 'P 1'
_space_group_IT_number 1
loop_
_space_group_symop_operation_xyz
'x,y,z'
loop_
_atom_site_label
_atom_site_type_symbol
_atom_site_fract_x
_atom_site_fract_y
_atom_site_fract_z
Na1 Na 0.0000 0.0000 0.0000
Mg1 Mg 0.0000 0.0000 0.5026
Mg2 Mg 0.0000 0.5000 0.2294
Mg3 Mg 0.0000 0.5000 0.7646
Mg4 Mg 0.5000 0.0000 0.2294
Mg5 Mg 0.5000 0.0000 0.7646
Mg6 Mg 0.5000 0.5000 0.4905
B1 B 0.5000 0.5000 0.9738
O1 O 0.0000 0.0000 0.2653
O2 O 0.0000 0.0000 0.7380
O3 O 0.0000 0.5000 0.5088
O4 O 0.0000 0.5000 0.9991
O5 O 0.5000 0.0000 0.5088
O6 O 0.5000 0.0000 0.9991
O7 O 0.5000 0.5000 0.8078
```